(1)
Starting from a cell relaxed with PBE, the powder diffraction line list of K3Nb was calculated for Cu Kα X-rays.
Kinematic intensities with the Lorentz-polarization factor, no thermal factor.

Structural model:
```
K3Nb
1.0
-3.115 3.115 4.859
3.115 -3.115 4.859
3.115 3.115 -4.859
K Nb
3 1
Direct
0.000 0.000 0.000 K
0.250 0.750 0.500 K
0.750 0.250 0.500 K
0.500 0.500 0.000 Nb
```

Principal peaks in the range 2θ = 10–90°, by angle:
5.245 Å, 16.90 deg, I 19
3.264 Å, 27.32 deg, I 100
3.115 Å, 28.65 deg, I 44
2.430 Å, 37.00 deg, I 11
2.203 Å, 40.97 deg, I 16
1.916 Å, 47.45 deg, I 20
1.826 Å, 49.95 deg, I 33
1.632 Å, 56.38 deg, I 11
1.520 Å, 60.94 deg, I 9
1.251 Å, 76.07 deg, I 9



(2)
Starting from a cell relaxed with PBE, the powder diffraction line list of Rb2NbCuBr6 was calculated for Cu Kα X-rays.
Kinematic intensities with the Lorentz-polarization factor, no thermal factor.

Structural model:
```
Rb2NbCuBr6
1.0
0.000 5.357 5.357
5.357 0.000 5.357
5.357 5.357 0.000
Rb Nb Cu Br
2 1 1 6
Direct
0.250 0.250 0.250 Rb
0.750 0.750 0.750 Rb
0.000 0.000 0.000 Nb
0.500 0.500 0.500 Cu
0.249 0.249 0.751 Br
0.249 0.751 0.249 Br
0.249 0.751 0.751 Br
0.751 0.249 0.249 Br
0.751 0.249 0.751 Br
0.751 0.751 0.249 Br
```

Principal peaks in the range 2θ = 10–90°, by angle:
5.357 Å, 16.55 deg, I 21
3.788 Å, 23.48 deg, I 22
3.093 Å, 28.87 deg, I 72
2.679 Å, 33.45 deg, I 100
1.894 Å, 48.04 deg, I 70
1.615 Å, 57.01 deg, I 30
1.547 Å, 59.80 deg, I 24
1.229 Å, 77.70 deg, I 13
1.198 Å, 80.11 deg, I 31
1.094 Å, 89.65 deg, I 24